Computed powder XRD pattern
Compound: Rb2AsC
Radiation: λ = 1.5418 Å (Cu Kα)
Structure: a cell relaxed with PBE

The 10 most intense peaks (2θ = 15–90°), most intense first:
Position (°2θ), intensity
27.38, 100
28.44, 75
34.14, 49
40.66, 24
49.72, 24
31.88, 19
45.01, 17
54.11, 17
47.73, 16
20.01, 16

Cell and atoms:
```
8
Lattice="-6.276 6.276 2.000 6.276 -6.276 2.000 6.276 6.276 -2.000" Properties=species:S:1:pos:R:3 pbc="T T T"
Rb 0.321 3.138 0.500
Rb -3.138 5.955 1.500
Rb -0.321 9.414 0.500
Rb 3.138 6.597 1.500
As 6.276 0.000 1.000
As 0.000 0.000 2.000
C 0.000 0.000 0.000
C 0.000 6.276 1.000
```